# 1
Calculated PXRD pattern of Hf2Sb3Pd for λ = 1.5418 Å (Cu Kα), from a GGA-PBE-relaxed structure.
Peak positions follow from Bragg's law for the DFT cell and can differ from measured ones.

Cell and atoms:
a = 3.948 Å, b = 3.948 Å, c = 8.590 Å
α = 90.00°, β = 90.00°, γ = 90.00°
Space group P-4m2 (No. 115)
Unique sites:
Hf: 0.000 0.500 0.239
Sb: 0.000 0.500 0.880
Sb: 0.500 0.500 0.500
Pd: 0.000 0.000 0.500

Peak list (10 most intense, 10° ≤ 2θ ≤ 90°, low angle first)
d_spacing  Rel. int.
3.588  34
2.907  22
2.863  29
2.792  34
2.655  84
2.341  100
2.318  87
1.974  65
1.503  45
1.199  24

=====

# 2
Calculated PXRD pattern of Hf2ZrSb4Pd4 for λ = 1.5418 Å (Cu Kα), from a GGA-PBE-relaxed structure.
Peak positions follow from Bragg's law for the DFT cell and can differ from measured ones.

Cell and atoms:
a = 6.351 Å, b = 6.351 Å, c = 12.503 Å
α = 90.00°, β = 90.00°, γ = 90.00°
Space group I-42m (No. 121)
Unique sites:
Hf: 0.000 0.500 0.250
Zr: 0.000 0.000 0.000
Sb: 0.000 0.000 0.260
Sb: 0.000 0.500 0.000
Pd: 0.241 0.241 0.870

Peak list (10 most intense, 10° ≤ 2θ ≤ 90°, low angle first)
d_spacing  Rel. int.
6.252  14
4.491  11
3.647  40
3.176  18
2.245  52
2.228  100
1.912  13
1.588  17
1.293  34
1.283  16

=====

# 3
Calculated PXRD pattern of HfSi2Pd for λ = 1.5418 Å (Cu Kα), from a GGA-PBE-relaxed structure.
Peak positions follow from Bragg's law for the DFT cell and can differ from measured ones.

Cell and atoms:
a = 4.008 Å, b = 5.918 Å, c = 5.256 Å
α = 90.00°, β = 90.00°, γ = 90.00°
Space group Pmn2_1 (No. 31)
Unique sites:
Hf: 0.000 0.085 0.000
Si: 0.000 0.228 0.494
Si: 0.000 0.662 0.274
Pd: 0.000 0.601 0.769

Peak list (10 most intense, 10° ≤ 2θ ≤ 90°, low angle first)
d_spacing  Rel. int.
3.187  78
2.806  92
2.578  44
2.402  79
2.381  100
2.168  29
2.060  64
2.004  41
1.539  40
1.468  34